(1)
Simulated XRD peak list
Compound: Rb4PbO4
Radiation: Cu Kα
Structure: a crystal structure in the Materials Project, relaxed with PBE
Neutral-atom scattering factors, no anomalous dispersion.

Structure:
Cell lengths 11.5107, 7.2150, 11.5256 Å; angles 90.00, 111.02, 90.00 degrees
Fractional coordinates of all 36 atoms:
Rb (0.0706, 0.0833, 0.2001)
Rb (0.0706, 0.4167, 0.7001)
Rb (0.1580, 0.6098, 0.0822)
Rb (0.1580, 0.8902, 0.5822)
Rb (0.3722, 0.6666, 0.8938)
Rb (0.3722, 0.8334, 0.3938)
Rb (0.4234, 0.1827, 0.7896)
Rb (0.4234, 0.3173, 0.2896)
Rb (0.5766, 0.6827, 0.7104)
Rb (0.5766, 0.8173, 0.2104)
Rb (0.6278, 0.1666, 0.6062)
Rb (0.6278, 0.3334, 0.1062)
Rb (0.8420, 0.1098, 0.4178)
Rb (0.8420, 0.3902, 0.9178)
Rb (0.9294, 0.5833, 0.2999)
Rb (0.9294, 0.9167, 0.7999)
Pb (0.2418, 0.1225, 0.9902)
Pb (0.2418, 0.3775, 0.4902)
Pb (0.7582, 0.6225, 0.5098)
Pb (0.7582, 0.8775, 0.0098)
O (0.0706, 0.2403, 0.9734)
O (0.0706, 0.2597, 0.4734)
O (0.2151, 0.5219, 0.3258)
O (0.2151, 0.9781, 0.8258)
O (0.3151, 0.5426, 0.6525)
O (0.3151, 0.9574, 0.1525)
O (0.3692, 0.1609, 0.5126)
O (0.3692, 0.3391, 0.0126)
O (0.6308, 0.6609, 0.9874)
O (0.6308, 0.8391, 0.4874)
O (0.6849, 0.0426, 0.8475)
O (0.6849, 0.4574, 0.3475)
O (0.7849, 0.0219, 0.1742)
O (0.7849, 0.4781, 0.6742)
O (0.9294, 0.7403, 0.5266)
O (0.9294, 0.7597, 0.0266)

Principal peaks in the range 2θ = 10–90°, most intense first:
2θ (°), intensity
27.39, 100
28.27, 64
33.71, 53
14.79, 25
16.49, 20
43.93, 19
45.16, 16
48.91, 14

***

(2)
Simulated XRD peak list
Compound: K2MnN2
Radiation: Cu Kα
Structure: a crystal structure in the Materials Project, relaxed with PBE
Neutral-atom scattering factors, no anomalous dispersion.

Structure:
Cell lengths 6.0563, 5.5041, 12.2011 Å; angles 90.00, 90.00, 90.00 degrees
Fractional coordinates of all 20 atoms:
K (0.1098, 0.2500, 0.1759)
K (0.2123, 0.2500, 0.5329)
K (0.2877, 0.7500, 0.0329)
K (0.3902, 0.7500, 0.6759)
K (0.6098, 0.2500, 0.3241)
K (0.7123, 0.2500, 0.9671)
K (0.7877, 0.7500, 0.4671)
K (0.8902, 0.7500, 0.8241)
Mn (0.2322, 0.2500, 0.8215)
Mn (0.2678, 0.7500, 0.3215)
Mn (0.7322, 0.2500, 0.6785)
Mn (0.7678, 0.7500, 0.1785)
N (0.0164, 0.7500, 0.2511)
N (0.2293, 0.2500, 0.9553)
N (0.2707, 0.7500, 0.4553)
N (0.4836, 0.2500, 0.7511)
N (0.5164, 0.7500, 0.2489)
N (0.7293, 0.2500, 0.5447)
N (0.7707, 0.7500, 0.0447)
N (0.9836, 0.2500, 0.7489)

Principal peaks in the range 2θ = 10–90°, most intense first:
2θ (°), intensity
31.07, 100
32.54, 57
17.68, 34
26.36, 22
34.60, 20
57.12, 20
33.78, 19
29.50, 19

***

(3)
Simulated XRD peak list
Compound: AcRh2Pb
Radiation: Cu Kα
Structure: a crystal structure in the Materials Project, relaxed with PBE
Neutral-atom scattering factors, no anomalous dispersion.

Structure:
Cell lengths 5.0142, 5.0142, 5.0142 Å; angles 60.00, 60.00, 60.00 degrees
Fractional coordinates of all 4 atoms:
Ac (0.0000, 0.0000, 0.0000)
Rh (0.2500, 0.2500, 0.2500)
Rh (0.7500, 0.7500, 0.7500)
Pb (0.5000, 0.5000, 0.5000)

Principal peaks in the range 2θ = 10–90°, most intense first:
2θ (°), intensity
35.82, 100
64.36, 37
51.55, 18
86.88, 17
25.12, 13
75.90, 12
58.18, 6
44.25, 4

***

(4)
Simulated XRD peak list
Compound: Dy2Ge6Pt
Radiation: Cu Kα
Structure: a crystal structure in the Materials Project, relaxed with PBE
Neutral-atom scattering factors, no anomalous dispersion.

Structure:
Cell lengths 4.1096, 11.1153, 11.1153 Å; angles 21.27, 90.00, 90.00 degrees
Fractional coordinates of all 9 atoms:
Dy (0.0000, 0.0000, 0.0000)
Dy (0.0000, 0.3370, 0.3370)
Ge (0.0000, 0.6004, 0.6004)
Ge (0.0000, 0.7147, 0.7147)
Ge (0.5000, 0.0997, 0.0997)
Ge (0.5000, 0.2143, 0.2143)
Ge (0.5000, 0.4609, 0.4609)
Ge (0.5000, 0.8914, 0.8914)
Pt (0.5000, 0.7807, 0.7807)

Principal peaks in the range 2θ = 10–90°, most intense first:
2θ (°), intensity
33.22, 100
44.11, 47
32.85, 31
43.31, 22
42.52, 21
64.15, 15
63.50, 14
16.23, 13

***

(5)
Simulated XRD peak list
Compound: VCrFe2
Radiation: Cu Kα
Structure: a crystal structure in the Materials Project, relaxed with PBE
Neutral-atom scattering factors, no anomalous dispersion.

Structure:
Cell lengths 2.4802, 2.4802, 8.0612 Å; angles 90.00, 90.00, 107.59 degrees
Fractional coordinates of all 4 atoms:
V (0.0000, 0.0000, 0.0000)
Cr (0.5000, 0.5000, 0.2572)
Fe (0.0000, 0.0000, 0.5020)
Fe (0.5000, 0.5000, 0.7468)

Principal peaks in the range 2θ = 10–90°, most intense first:
2θ (°), intensity
44.43, 100
44.98, 24
45.31, 24
65.76, 14
83.07, 13
82.60, 13
63.51, 8
81.41, 7

***

(6)
Simulated XRD peak list
Compound: Zn2Fe3Cu10Sn5Se20
Radiation: Cu Kα
Structure: a crystal structure in the Materials Project, relaxed with PBE
Neutral-atom scattering factors, no anomalous dispersion.

Structure:
Cell lengths 15.7893, 15.7893, 15.7893 Å; angles 158.98, 137.64, 47.75 degrees
Fractional coordinates of all 40 atoms:
Zn (0.2000, 0.2000, 0.0000)
Zn (0.8000, 0.8000, 0.0000)
Fe (0.0000, 0.0000, 0.0000)
Fe (0.4001, 0.4001, 0.0000)
Fe (0.5999, 0.5999, 0.0000)
Cu (0.0505, 0.2992, 0.7495)
Cu (0.1505, 0.9013, 0.2517)
Cu (0.2502, 0.5000, 0.7502)
Cu (0.3503, 0.0987, 0.2491)
Cu (0.4503, 0.7008, 0.7513)
Cu (0.5497, 0.3010, 0.2505)
Cu (0.6497, 0.8988, 0.7483)
Cu (0.7498, 0.5000, 0.2498)
Cu (0.8495, 0.1012, 0.7509)
Cu (0.9495, 0.6990, 0.2487)
Sn (0.0997, 0.5997, 0.5000)
Sn (0.3002, 0.8002, 0.5000)
Sn (0.5000, 0.0000, 0.5000)
Sn (0.6998, 0.1998, 0.5000)
Sn (0.9003, 0.4003, 0.5000)
Se (0.0163, 0.9138, 0.6258)
Se (0.0866, 0.1854, 0.3646)
Se (0.1118, 0.4861, 0.1026)
Se (0.1793, 0.8146, 0.9013)
Se (0.2211, 0.1215, 0.6354)
Se (0.2881, 0.3905, 0.3742)
Se (0.3132, 0.6776, 0.0981)
Se (0.3836, 0.0092, 0.8974)
Se (0.4205, 0.3224, 0.6355)
Se (0.4861, 0.5857, 0.3646)
Se (0.5139, 0.8785, 0.0996)
Se (0.5795, 0.2151, 0.9019)
Se (0.6164, 0.5139, 0.6257)
Se (0.6868, 0.7849, 0.3645)
Se (0.7119, 0.0862, 0.1024)
Se (0.7789, 0.4143, 0.9004)
Se (0.8207, 0.7220, 0.6354)
Se (0.8882, 0.9908, 0.3743)
Se (0.9134, 0.2780, 0.0987)
Se (0.9837, 0.6095, 0.8976)

Principal peaks in the range 2θ = 10–90°, most intense first:
2θ (°), intensity
26.87, 100
44.68, 48
44.43, 25
52.63, 15
52.74, 14
53.14, 14
71.70, 11
81.93, 7

***

(7)
Simulated XRD peak list
Compound: Na2Bi5AuO11
Radiation: Cu Kα
Structure: a crystal structure in the Materials Project, relaxed with PBE
Neutral-atom scattering factors, no anomalous dispersion.

Structure:
Cell lengths 12.4957, 12.4957, 3.9180 Å; angles 90.00, 90.00, 90.00 degrees
Fractional coordinates of all 38 atoms:
Na (0.2039, 0.2961, 0.0000)
Na (0.2961, 0.7961, 0.0000)
Na (0.7039, 0.2039, 0.0000)
Na (0.7961, 0.7039, 0.0000)
Bi (0.0000, 0.5000, 0.0000)
Bi (0.0494, 0.7695, 0.5000)
Bi (0.2305, 0.0494, 0.5000)
Bi (0.2695, 0.5494, 0.5000)
Bi (0.4506, 0.2695, 0.5000)
Bi (0.5000, 0.0000, 0.0000)
Bi (0.5494, 0.7305, 0.5000)
Bi (0.7305, 0.4506, 0.5000)
Bi (0.7695, 0.9506, 0.5000)
Bi (0.9506, 0.2305, 0.5000)
Au (0.0000, 0.0000, 0.0000)
Au (0.5000, 0.5000, 0.0000)
O (0.0000, 0.5000, 0.5000)
O (0.0033, 0.3285, 0.0000)
O (0.1088, 0.8778, 0.0000)
O (0.1222, 0.1088, 0.0000)
O (0.1715, 0.4967, 0.0000)
O (0.2118, 0.7118, 0.5000)
O (0.2882, 0.2118, 0.5000)
O (0.3285, 0.9967, 0.0000)
O (0.3778, 0.6088, 0.0000)
O (0.3912, 0.3778, 0.0000)
O (0.4967, 0.8285, 0.0000)
O (0.5000, 0.0000, 0.5000)
O (0.5033, 0.1715, 0.0000)
O (0.6088, 0.6222, 0.0000)
O (0.6222, 0.3912, 0.0000)
O (0.6715, 0.0033, 0.0000)
O (0.7118, 0.7882, 0.5000)
O (0.7882, 0.2882, 0.5000)
O (0.8285, 0.5033, 0.0000)
O (0.8778, 0.8912, 0.0000)
O (0.8912, 0.1222, 0.0000)
O (0.9967, 0.6715, 0.0000)

Principal peaks in the range 2θ = 10–90°, most intense first:
2θ (°), intensity
30.50, 100
28.57, 48
26.86, 29
14.18, 28
29.47, 24
32.03, 23
49.57, 20
15.86, 18

***

(8)
Simulated XRD peak list
Compound: Sr2MgTi2S6
Radiation: Cu Kα
Structure: a crystal structure in the Materials Project, relaxed with PBE
Neutral-atom scattering factors, no anomalous dispersion.

Structure:
Cell lengths 5.7530, 6.6982, 7.4668 Å; angles 116.10, 108.14, 91.86 degrees
Fractional coordinates of all 11 atoms:
Sr (0.0000, 0.0000, 0.0000)
Sr (0.3272, 0.7750, 0.5609)
Mg (0.6247, 0.1662, 0.3267)
Ti (0.1656, 0.4069, 0.8083)
Ti (0.6612, 0.4074, 0.8111)
S (0.0405, 0.5620, 0.1086)
S (0.2701, 0.2384, 0.4642)
S (0.4754, 0.2276, 0.9741)
S (0.4953, 0.7547, 0.9774)
S (0.8236, 0.0598, 0.6149)
S (0.8433, 0.5605, 0.6130)

Principal peaks in the range 2θ = 10–90°, most intense first:
2θ (°), intensity
14.17, 100
38.44, 80
31.19, 66
26.63, 64
36.80, 60
37.64, 53
31.60, 50
38.21, 47